Theoretical powder X-ray diffraction pattern
Compound: LaAlCu4
Radiation: Cu Kα, 1.54184 Å
Structure: a DFT-relaxed cell (GGA-PBE, the Materials Project)

Most intense lines, 2θ from 10° to 80°, sorted by position:
- 28.92°, I 25, (1 1 1)
- 29.25°, I 44, (0 2 1)
- 34.65°, I 54, (1 3 0)
- 39.55°, I 33, (2 2 0)
- 40.21°, I 86, (2 0 1)
- 40.96°, I 100, (1 3 1)
- 43.09°, I 46, (0 0 2)
- 56.44°, I 25, (1 3 2)
- 65.33°, I 24, (3 3 1)
- 77.56°, I 24, (1 3 3)

Cell and atoms:
Cell lengths 5.306, 8.896, 4.198 Å; angles 90.00, 90.00, 90.00 degrees
Fractional coordinates of all 12 atoms:
1 La 0.000 0.000 0.000
2 La 0.500 0.500 0.000
3 Al 0.000 0.500 0.500
4 Al 0.500 0.000 0.500
5 Cu 0.000 0.334 0.000
6 Cu 0.000 0.666 0.000
7 Cu 0.250 0.250 0.500
8 Cu 0.250 0.750 0.500
9 Cu 0.500 0.166 0.000
10 Cu 0.500 0.834 0.000
11 Cu 0.750 0.250 0.500
12 Cu 0.750 0.750 0.500